Record 1
# KCr2FeO8
Computed XRD peak list, λ = 1.5418 Å (Cu Kα). Input: a DFT-relaxed cell (GGA+U, the Materials Project).

Structural model:
Unit cell a=8.892 b=5.558 c=7.883 alpha=90.00 beta=93.90 gamma=90.00
Space group C2/m (No. 12)
One atom of each set of equivalent atoms:
K1 0.000 0.000 0.000 x2
Cr1 0.131 0.500 0.294 x4
Fe1 0.000 0.000 0.500 x2
O1 0.027 0.250 0.319 x8
O2 0.187 0.500 0.102 x4
O3 0.222 0.000 0.563 x4

The 6 most intense peaks (2θ = 10–90°), low angle first:
Position (°2θ)	d_spacing	intensity
11.25	7.864	81
21.64	4.106	84
22.34	3.979	73
23.69	3.756	61
29.05	3.073	100
34.35	2.611	63

=====

Record 2
# MgMn2Zn2O6
Computed XRD peak list, λ = 1.5418 Å (Cu Kα). Input: a DFT-relaxed cell (GGA+U, the Materials Project).

Structural model:
Unit cell a=5.2004 b=5.2004 c=15.1864 alpha=90.00 beta=90.00 gamma=120.00
Space group R-3 (No. 148, hexagonal axes)
One atom of each set of equivalent atoms:
Mg1 0.0000 0.0000 0.0000 x3
Mn1 0.0000 0.0000 0.3521 x6
Zn1 0.0000 0.0000 0.1713 x6
O1 0.0094 0.3583 0.4092 x18

The 6 most intense peaks (2θ = 10–90°), low angle first:
Position (°2θ)	d_spacing	intensity
22.96	3.874	42
30.80	2.903	34
34.49	2.600	95
35.65	2.518	22
50.31	1.814	100
61.80	1.501	38

=====

Record 3
# BaMgMnV2Ag2O8
Computed XRD peak list, λ = 1.5418 Å (Cu Kα). Input: a DFT-relaxed cell (GGA+U, the Materials Project).

Structural model:
Unit cell a=5.562 b=5.722 c=7.469 alpha=90.86 beta=93.28 gamma=111.04
Space group P1 (No. 1)
One atom of each set of equivalent atoms:
Ba1 0.000 0.000 0.000 x1
Mg1 0.573 0.943 0.556 x1
Mn1 0.109 0.078 0.469 x1
V1 0.404 0.660 0.233 x1
V2 0.676 0.401 0.770 x1
Ag1 0.222 0.564 0.762 x1
Ag2 0.807 0.435 0.316 x1
O1 0.238 0.779 0.403 x1
O2 0.304 0.327 0.270 x1
O3 0.361 0.774 0.021 x1
O4 0.373 0.129 0.694 x1
O5 0.687 0.708 0.708 x1
O6 0.740 0.877 0.325 x1
O7 0.772 0.382 0.994 x1
O8 0.875 0.267 0.618 x1

The 6 most intense peaks (2θ = 10–90°), low angle first:
Position (°2θ)	d_spacing	intensity
28.69	3.111	52
29.77	3.001	100
31.17	2.869	27
31.71	2.822	58
32.54	2.752	31
34.14	2.626	31

=====

Record 4
# Li3VPCO7
Computed XRD peak list, λ = 1.5418 Å (Cu Kα). Input: a DFT-relaxed cell (GGA+U, the Materials Project).

Structural model:
Unit cell a=9.779 b=6.513 c=9.669 alpha=90.00 beta=117.70 gamma=90.00
Space group P2_1/c (No. 14)
One atom of each set of equivalent atoms:
Li1 0.111 0.234 0.188 x4
Li2 0.289 0.022 0.519 x4
Li3 0.374 0.749 0.821 x4
V1 0.248 0.522 0.486 x4
P1 0.408 0.238 0.313 x4
C1 0.054 0.744 0.143 x4
O1 0.074 0.699 0.282 x4
O2 0.088 0.225 0.968 x4
O3 0.167 0.745 0.611 x4
O4 0.315 0.057 0.329 x4
O5 0.318 0.065 0.813 x4
O6 0.407 0.223 0.151 x4
O7 0.422 0.742 0.057 x4

The 6 most intense peaks (2θ = 10–90°), low angle first:
Position (°2θ)	d_spacing	intensity
17.11	5.184	100
22.76	3.908	55
24.69	3.605	46
24.89	3.577	40
25.40	3.506	65
34.46	2.602	91

=====

Record 5
# Li9Mn2Co5O16
Computed XRD peak list, λ = 1.5418 Å (Cu Kα). Input: a DFT-relaxed cell (GGA+U, the Materials Project).

Structural model:
Unit cell a=2.911 b=6.619 c=15.408 alpha=91.87 beta=92.18 gamma=102.53
Space group P-1 (No. 2)
One atom of each set of equivalent atoms:
Li1 0.000 0.000 0.000 x1
Li2 0.071 0.121 0.182 x2
Li3 0.187 0.375 0.563 x2
Li4 0.327 0.641 0.936 x2
Li5 0.436 0.877 0.314 x2
Mn1 0.387 0.762 0.122 x2
Co1 0.127 0.250 0.375 x2
Co2 0.241 0.502 0.751 x2
Co3 0.500 0.000 0.500 x1
O1 0.016 0.055 0.589 x2
O2 0.080 0.200 0.791 x2
O3 0.161 0.308 0.957 x2
O4 0.253 0.455 0.161 x2
O5 0.269 0.555 0.338 x2
O6 0.366 0.697 0.536 x2
O7 0.384 0.803 0.712 x2
O8 0.481 0.962 0.902 x2

The 6 most intense peaks (2θ = 10–90°), low angle first:
Position (°2θ)	d_spacing	intensity
18.31	4.846	100
35.55	2.525	15
42.75	2.115	30
43.18	2.095	28
44.41	2.040	26
64.01	1.455	15

=====

Record 6
# BeCo2O4
Computed XRD peak list, λ = 1.5418 Å (Cu Kα). Input: a DFT-relaxed cell (GGA+U, the Materials Project).

Structural model:
Unit cell a=7.735 b=7.735 c=7.735 alpha=90.00 beta=90.00 gamma=90.00
Space group Fd-3m (No. 227, origin choice 2)
One atom of each set of equivalent atoms:
Be1 0.125 0.125 0.125 x8
Co1 0.000 0.000 0.500 x16
O1 0.002 0.002 0.748 x32

The 6 most intense peaks (2θ = 10–90°), low angle first:
Position (°2θ)	d_spacing	intensity
19.88	4.466	100
38.60	2.332	66
46.99	1.934	68
51.50	1.775	20
62.38	1.489	20
68.63	1.367	41

=====

Record 7
# MgCd2Te2Mo2O12
Computed XRD peak list, λ = 1.5418 Å (Cu Kα). Input: a DFT-relaxed cell (GGA+U, the Materials Project).

Structural model:
Unit cell a=5.343 b=5.343 c=10.393 alpha=90.00 beta=90.00 gamma=90.00
Space group P-4 (No. 81)
One atom of each set of equivalent atoms:
Mg1 0.000 0.000 0.000 x1
Cd1 0.000 0.000 0.500 x1
Cd2 0.500 0.500 0.500 x1
Te1 0.000 0.500 0.730 x2
Mo1 0.000 0.500 0.219 x2
O1 0.141 0.264 0.111 x4
O2 0.193 0.699 0.613 x4
O3 0.235 0.713 0.306 x4

The 6 most intense peaks (2θ = 10–90°), low angle first:
Position (°2θ)	d_spacing	intensity
25.08	3.551	14
29.23	3.056	100
33.55	2.671	22
48.17	1.889	17
48.90	1.863	24
57.34	1.607	29